Record 1
Starting from a PBE-relaxed structure, the powder diffraction line list of Zr7Te8N4 was computed for a wavelength of 1.5418 Å.

Principal peaks in the range 10° ≤ 2θ ≤ 90°, in order of rising 2θ:
| two_theta | I/Imax |
| --- | --- |
| 22.34 | 43 |
| 23.49 | 54 |
| 25.32 | 39 |
| 28.06 | 60 |
| 28.16 | 61 |
| 32.71 | 100 |
| 34.40 | 95 |
| 34.73 | 68 |
| 35.07 | 50 |
| 39.05 | 50 |

Crystal structure
Unit cell a=7.874 b=7.950 c=8.443 alpha=102.06 beta=102.52 gamma=102.78
Element x y z (fractional)
1 Zr 0.000 0.000 0.000
2 Zr 0.040 0.183 0.519
3 Zr 0.103 0.444 0.227
4 Zr 0.291 0.626 0.695
5 Zr 0.602 0.031 0.289
6 Zr 0.770 0.271 0.810
7 Zr 0.822 0.488 0.548
8 Te 0.063 0.880 0.682
9 Te 0.246 0.731 0.062
10 Te 0.296 0.187 0.309
11 Te 0.381 0.332 0.787
12 Te 0.489 0.692 0.454
13 Te 0.604 0.937 0.907
14 Te 0.703 0.379 0.175
15 Te 0.868 0.849 0.254
16 N 0.001 0.255 0.993
17 N 0.075 0.453 0.499
18 N 0.774 0.192 0.538
19 N 0.830 0.515 0.786

***

Record 2
Starting from a PBE-relaxed structure, the powder diffraction line list of Pm2Tm4In was computed for a wavelength of 1.5418 Å.

Principal peaks in the range 10° ≤ 2θ ≤ 90°, in order of rising 2θ:
| two_theta | I/Imax |
| --- | --- |
| 28.76 | 40 |
| 29.03 | 39 |
| 29.95 | 54 |
| 31.21 | 40 |
| 32.24 | 58 |
| 32.41 | 100 |
| 33.07 | 84 |
| 35.60 | 61 |
| 36.82 | 42 |
| 57.04 | 26 |

Crystal structure
Unit cell a=6.458 b=6.217 c=10.617 alpha=90.00 beta=90.00 gamma=90.00
Element x y z (fractional)
1 Pm 0.000 0.243 0.042
2 Pm 0.000 0.757 0.958
3 Pm 0.500 0.243 0.458
4 Pm 0.500 0.757 0.542
5 Tm 0.000 0.066 0.345
6 Tm 0.000 0.934 0.655
7 Tm 0.250 0.404 0.750
8 Tm 0.250 0.596 0.250
9 Tm 0.500 0.066 0.155
10 Tm 0.500 0.934 0.845
11 Tm 0.750 0.404 0.750
12 Tm 0.750 0.596 0.250
13 In 0.000 0.500 0.500
14 In 0.500 0.500 0.000

***

Record 3
Starting from a PBE-relaxed structure, the powder diffraction line list of Na4Pt3RhO8 was computed for a wavelength of 1.5418 Å.

Principal peaks in the range 10° ≤ 2θ ≤ 90°, in order of rising 2θ:
| two_theta | I/Imax |
| --- | --- |
| 17.40 | 100 |
| 27.66 | 28 |
| 32.73 | 24 |
| 33.00 | 34 |
| 33.29 | 77 |
| 35.23 | 23 |
| 41.81 | 42 |
| 41.98 | 17 |
| 52.52 | 19 |
| 55.97 | 14 |

Crystal structure
Unit cell a=6.757 b=6.757 c=6.055 alpha=112.35 beta=112.35 gamma=54.53
Element x y z (fractional)
1 Na 0.000 0.000 0.000
2 Na 0.000 0.500 0.500
3 Na 0.500 0.000 0.500
4 Na 0.500 0.500 0.000
5 Pt 0.000 0.000 0.500
6 Pt 0.000 0.500 0.000
7 Pt 0.500 0.000 0.000
8 Rh 0.500 0.500 0.500
9 O 0.185 0.185 0.754
10 O 0.211 0.711 0.676
11 O 0.289 0.789 0.324
12 O 0.317 0.317 0.243
13 O 0.683 0.683 0.757
14 O 0.711 0.211 0.676
15 O 0.789 0.289 0.324
16 O 0.815 0.815 0.246

***

Record 4
Starting from a PBE-relaxed structure, the powder diffraction line list of SnO2 was computed for a wavelength of 1.5418 Å.

Principal peaks in the range 10° ≤ 2θ ≤ 90°, in order of rising 2θ:
| two_theta | I/Imax |
| --- | --- |
| 26.09 | 100 |
| 33.28 | 82 |
| 37.23 | 24 |
| 50.78 | 71 |
| 53.66 | 17 |
| 60.62 | 16 |
| 63.52 | 17 |
| 64.63 | 22 |
| 77.01 | 15 |
| 88.79 | 14 |

Crystal structure
Unit cell a=4.831 b=4.831 c=3.242 alpha=90.00 beta=90.00 gamma=90.00
Element x y z (fractional)
1 Sn 0.000 0.000 0.000
2 Sn 0.500 0.500 0.500
3 O 0.193 0.193 0.500
4 O 0.307 0.693 0.000
5 O 0.693 0.307 0.000
6 O 0.807 0.807 0.500

***

Record 5
Starting from a PBE-relaxed structure, the powder diffraction line list of PuMg4Bi3 was computed for a wavelength of 1.5418 Å.

Principal peaks in the range 10° ≤ 2θ ≤ 90°, in order of rising 2θ:
| two_theta | I/Imax |
| --- | --- |
| 14.59 | 21 |
| 21.47 | 24 |
| 23.98 | 23 |
| 26.09 | 53 |
| 26.45 | 98 |
| 34.46 | 33 |
| 37.50 | 100 |
| 43.73 | 28 |
| 60.82 | 21 |
| 63.75 | 22 |

Crystal structure
Unit cell a=7.900 b=7.900 c=7.900 alpha=141.54 beta=128.78 gamma=65.84
Element x y z (fractional)
1 Pu 0.000 0.000 0.000
2 Mg 0.284 0.500 0.784
3 Mg 0.292 0.292 0.000
4 Mg 0.708 0.708 0.000
5 Mg 0.716 0.500 0.216
6 Bi 0.172 0.672 0.500
7 Bi 0.500 0.000 0.500
8 Bi 0.828 0.328 0.500

***

Record 6
Starting from a PBE-relaxed structure, the powder diffraction line list of LiY3Sn3 was computed for a wavelength of 1.5418 Å.

Principal peaks in the range 10° ≤ 2θ ≤ 90°, in order of rising 2θ:
| two_theta | I/Imax |
| --- | --- |
| 26.14 | 29 |
| 30.47 | 22 |
| 30.68 | 30 |
| 31.19 | 100 |
| 31.46 | 53 |
| 35.41 | 32 |
| 37.36 | 71 |
| 38.78 | 22 |
| 39.52 | 45 |
| 51.36 | 27 |

Crystal structure
Unit cell a=6.138 b=6.138 c=14.749 alpha=107.74 beta=107.74 gamma=43.62
Element x y z (fractional)
1 Li 0.239 0.239 0.399
2 Li 0.761 0.761 0.601
3 Y 0.259 0.259 0.776
4 Y 0.405 0.405 0.081
5 Y 0.466 0.466 0.616
6 Y 0.534 0.534 0.384
7 Y 0.595 0.595 0.919
8 Y 0.741 0.741 0.224
9 Sn 0.028 0.028 0.236
10 Sn 0.131 0.131 0.075
11 Sn 0.137 0.137 0.552
12 Sn 0.863 0.863 0.448
13 Sn 0.869 0.869 0.925
14 Sn 0.972 0.972 0.764